1.
The following is a simulated powder X-ray diffraction pattern of FeH4Cl5O. It was derived from the PBE+U geometry in the Materials Project, using Cu Ka.

Structural model:
a = 18.136 Å, b = 8.691 Å, c = 6.995 Å
α = 90.00°, β = 90.00°, γ = 90.00°
Space group Pnma (No. 62)
Inequivalent atoms, fractional coordinates:
Fe (0.061, 0.250, 0.215) [4 per cell]
H (0.027, 0.657, 0.071) [8 per cell]
H (0.143, 0.018, 0.661) [8 per cell]
Cl (0.005, 0.250, 0.489) [4 per cell]
Cl (0.106, 0.014, 0.168) [8 per cell]
Cl (0.238, 0.750, 0.787) [4 per cell]
Cl (0.242, 0.750, 0.503) [4 per cell]
O (0.003, 0.750, 0.017) [4 per cell]

Most intense lines, 10 to 90 degrees two-theta, low angle first:
d = 5.538 Å, I 96, (2 0 1)
d = 5.449 Å, I 100, (0 1 1)
d = 4.345 Å, I 38, (0 2 0)
d = 4.020 Å, I 32, (4 1 0)
d = 3.805 Å, I 42, (4 0 1)
d = 3.137 Å, I 95, (4 2 0)
d = 3.025 Å, I 36, (6 0 0)
d = 2.173 Å, I 26, (0 4 0)

2.
The following is a simulated powder X-ray diffraction pattern of Fe2Te4HClO12. It was derived from the PBE+U geometry in the Materials Project, using Cu Ka.

Structural model:
a = 5.248 Å, b = 6.598 Å, c = 9.120 Å
α = 75.28°, β = 83.22°, γ = 72.32°
Space group P-1 (No. 2)
Inequivalent atoms, fractional coordinates:
Fe (0.206, 0.137, 0.434) [2 per cell]
Te (0.214, 0.878, 0.829) [2 per cell]
Te (0.347, 0.659, 0.306) [2 per cell]
H (0.500, 0.500, 0.000) [1 per cell]
Cl (0.500, 0.000, 0.000) [1 per cell]
O (0.049, 0.794, 0.169) [2 per cell]
O (0.050, 0.217, 0.233) [2 per cell]
O (0.152, 0.833, 0.451) [2 per cell]
O (0.264, 0.412, 0.433) [2 per cell]
O (0.397, 0.990, 0.644) [2 per cell]
O (0.457, 0.582, 0.867) [2 per cell]

Most intense lines, 10 to 90 degrees two-theta, low angle first:
d = 6.117 Å, I 35, (0 1 0)
d = 4.558 Å, I 100, (1 1 0)
d = 3.379 Å, I 65, (1 0 2)
d = 3.301 Å, I 72, (-1 1 1)
d = 3.235 Å, I 63, (1 0 -2)
d = 2.877 Å, I 55, (1 1 -2)
d = 2.703 Å, I 41, (0 2 -1)
d = 2.583 Å, I 32, (1 0 3)

3.
The following is a simulated powder X-ray diffraction pattern of Fe2Te4H3ClO12. It was derived from the PBE+U geometry in the Materials Project, using Cu Ka.

Structural model:
a = 5.212 Å, b = 6.741 Å, c = 9.062 Å
α = 73.06°, β = 79.13°, γ = 76.88°
Space group P-1 (No. 2)
Inequivalent atoms, fractional coordinates:
Fe (0.224, 0.142, 0.445) [2 per cell]
Te (0.169, 0.831, 0.833) [2 per cell]
Te (0.377, 0.661, 0.313) [2 per cell]
H (0.055, 0.534, 0.211) [2 per cell]
H (0.500, 0.500, 0.000) [1 per cell]
Cl (0.500, 0.000, 0.000) [1 per cell]
O (0.039, 0.288, 0.261) [2 per cell]
O (0.090, 0.682, 0.193) [2 per cell]
O (0.135, 0.864, 0.416) [2 per cell]
O (0.312, 0.404, 0.463) [2 per cell]
O (0.391, 0.959, 0.646) [2 per cell]
O (0.403, 0.566, 0.879) [2 per cell]

Most intense lines, 10 to 90 degrees two-theta, low angle first:
d = 4.348 Å, I 92, (1 1 0)
d = 3.631 Å, I 36, (1 1 2)
d = 3.501 Å, I 59, (1 0 2)
d = 3.411 Å, I 100, (-1 1 1)
d = 3.262 Å, I 41, (0 2 1)
d = 3.192 Å, I 41, (0 1 -2)
d = 3.074 Å, I 43, (1 0 -2)
d = 2.888 Å, I 45, (1 2 2)